Entry 1:
# CaPSe
Theoretical powder X-ray diffraction pattern, Cu Kα, 1.54184 Å. Input: a structure optimized by DFT (GGA-PBE).

Principal peaks in the range 2θ = 10–90°, most intense first:
2theta	d [Å]	I (rel.)
35.18	2.551	100
25.67	3.470	76
24.25	3.670	46
36.05	2.491	38
41.91	2.156	33
44.15	2.051	29
30.58	2.924	27
51.48	1.775	26
26.82	3.324	24
56.45	1.630	20
70.12	1.342	14
29.56	3.022	14

Atomic structure:
Cell lengths 10.6466, 4.1092, 4.1092 Å; angles 63.28, 90.00, 90.00 degrees
Element x y z (fractional)
Ca 0.1601 0.0000 0.0000
Ca 0.8399 0.0000 0.0000
P 0.0000 0.3531 0.3531
P 0.5000 0.8466 0.8466
Se 0.3332 0.6547 0.6547
Se 0.6668 0.6547 0.6547

Entry 2:
# Ca3Si8P14
Theoretical powder X-ray diffraction pattern, Cu Kα, 1.54184 Å. Input: a structure optimized by DFT (GGA-PBE).

Principal peaks in the range 2θ = 10–90°, most intense first:
2theta	d [Å]	I (rel.)
29.28	3.050	100
29.56	3.021	91
30.82	2.901	63
25.31	3.519	45
38.20	2.356	40
48.01	1.895	40
28.53	3.129	38
51.41	1.777	34
33.06	2.710	29
54.40	1.686	25
30.93	2.891	25
33.35	2.687	25

Atomic structure:
Cell lengths 12.2054, 13.5621, 6.2619 Å; angles 90.00, 90.92, 90.00 degrees
Element x y z (fractional)
Ca 0.0000 0.0000 0.0000
Ca 0.0000 0.5000 0.5000
Ca 0.3330 0.1558 0.8234
Ca 0.3330 0.3442 0.3234
Ca 0.6670 0.6558 0.6766
Ca 0.6670 0.8442 0.1766
Si 0.0842 0.1873 0.4637
Si 0.0842 0.3127 0.9637
Si 0.1106 0.6859 0.0422
Si 0.1106 0.8141 0.5422
Si 0.3471 0.5462 0.8831
Si 0.3471 0.9538 0.3831
Si 0.3498 0.6877 0.3826
Si 0.3498 0.8123 0.8826
Si 0.6502 0.1877 0.1174
Si 0.6502 0.3123 0.6174
Si 0.6529 0.0462 0.6169
Si 0.6529 0.4538 0.1169
Si 0.8894 0.1859 0.4578
Si 0.8894 0.3141 0.9578
Si 0.9158 0.6873 0.0363
Si 0.9158 0.8127 0.5363
P 0.1418 0.0533 0.6444
P 0.1418 0.4467 0.1444
P 0.1470 0.1773 0.1286
P 0.1470 0.3227 0.6286
P 0.1617 0.5465 0.8714
P 0.1617 0.9535 0.3714
P 0.1664 0.6722 0.3889
P 0.1664 0.8278 0.8889
P 0.4087 0.1048 0.2881
P 0.4087 0.3952 0.7881
P 0.4180 0.5523 0.2242
P 0.4180 0.9477 0.7242
P 0.4253 0.6793 0.7165
P 0.4253 0.8207 0.2165
P 0.5747 0.1793 0.7835
P 0.5747 0.3207 0.2835
P 0.5820 0.0523 0.2758
P 0.5820 0.4477 0.7758
P 0.5913 0.6048 0.2119
P 0.5913 0.8952 0.7119
P 0.8336 0.1722 0.1111
P 0.8336 0.3278 0.6111
P 0.8383 0.0465 0.6286
P 0.8383 0.4535 0.1286
P 0.8530 0.6773 0.3714
P 0.8530 0.8227 0.8714
P 0.8582 0.5533 0.8556
P 0.8582 0.9467 0.3556

Entry 3:
# Ca3Si2P4
Theoretical powder X-ray diffraction pattern, Cu Kα, 1.54184 Å. Input: a structure optimized by DFT (GGA-PBE).

Principal peaks in the range 2θ = 10–90°, most intense first:
2theta	d [Å]	I (rel.)
30.72	2.910	100
43.59	2.077	18
44.43	2.039	18
46.09	1.969	14
52.77	1.735	9
41.79	2.161	7
73.27	1.292	6
31.20	2.867	6
72.04	1.311	5
57.14	1.612	5
55.72	1.650	5
63.98	1.455	5

Atomic structure:
Cell lengths 7.1065, 17.2902, 6.9450 Å; angles 90.00, 111.79, 90.00 degrees
Element x y z (fractional)
Ca 0.2163 0.1838 0.0122
Ca 0.2163 0.3162 0.5122
Ca 0.2560 0.0618 0.5121
Ca 0.2560 0.4382 0.0121
Ca 0.2613 0.5585 0.5043
Ca 0.2613 0.9415 0.0043
Ca 0.7387 0.0585 0.9957
Ca 0.7387 0.4415 0.4957
Ca 0.7440 0.5618 0.9879
Ca 0.7440 0.9382 0.4879
Ca 0.7837 0.6838 0.4878
Ca 0.7837 0.8162 0.9878
Si 0.2120 0.6283 0.0288
Si 0.2120 0.8717 0.5288
Si 0.3166 0.7419 0.9145
Si 0.3166 0.7581 0.4145
Si 0.6834 0.2419 0.5855
Si 0.6834 0.2581 0.0855
Si 0.7880 0.1283 0.4712
Si 0.7880 0.3717 0.9712
P 0.0098 0.5613 0.7553
P 0.0098 0.9387 0.2553
P 0.0442 0.6860 0.2210
P 0.0442 0.8140 0.7210
P 0.4939 0.5683 0.2398
P 0.4939 0.9317 0.7398
P 0.4993 0.1991 0.7761
P 0.4993 0.3009 0.2761
P 0.5007 0.6991 0.7239
P 0.5007 0.8009 0.2239
P 0.5061 0.0683 0.2602
P 0.5061 0.4317 0.7602
P 0.9558 0.1860 0.2790
P 0.9558 0.3140 0.7790
P 0.9902 0.0613 0.7447
P 0.9902 0.4387 0.2447

Entry 4:
# Ca4SiP4
Theoretical powder X-ray diffraction pattern, Cu Kα, 1.54184 Å. Input: a structure optimized by DFT (GGA-PBE).

Principal peaks in the range 2θ = 10–90°, most intense first:
2theta	d [Å]	I (rel.)
30.57	2.925	100
42.72	2.116	63
43.77	2.068	48
29.12	3.067	30
31.10	2.875	30
38.12	2.361	26
28.17	3.168	23
37.37	2.406	16
53.44	1.715	16
49.62	1.837	15
79.70	1.203	14
63.63	1.462	13

Atomic structure:
Cell lengths 8.2725, 8.2725, 6.1331 Å; angles 90.00, 90.00, 90.00 degrees
Element x y z (fractional)
Ca 0.0196 0.2500 0.0699
Ca 0.2500 0.0196 0.5699
Ca 0.2500 0.4804 0.5699
Ca 0.4804 0.2500 0.0699
Ca 0.5196 0.7500 0.9301
Ca 0.7500 0.5196 0.4301
Ca 0.7500 0.9804 0.4301
Ca 0.9804 0.7500 0.9301
Si 0.2500 0.7500 0.2500
Si 0.7500 0.2500 0.7500
P 0.0219 0.7500 0.4569
P 0.2500 0.5219 0.0431
P 0.2500 0.9781 0.0431
P 0.4781 0.7500 0.4569
P 0.5219 0.2500 0.5431
P 0.7500 0.0219 0.9569
P 0.7500 0.4781 0.9569
P 0.9781 0.2500 0.5431

Entry 5:
# Ca6Sn2P
Theoretical powder X-ray diffraction pattern, Cu Kα, 1.54184 Å. Input: a structure optimized by DFT (GGA-PBE).

Principal peaks in the range 2θ = 10–90°, most intense first:
2theta	d [Å]	I (rel.)
29.28	3.050	100
31.85	2.810	77
37.40	2.405	44
21.33	4.165	43
38.66	2.329	42
32.85	2.727	40
56.11	1.639	26
40.26	2.240	25
62.54	1.485	24
19.82	4.480	24
59.55	1.552	24
12.27	7.214	23

Atomic structure:
Cell lengths 8.3302, 8.3302, 4.4800 Å; angles 90.00, 90.00, 120.00 degrees
Element x y z (fractional)
Ca 0.0000 0.4103 0.0000
Ca 0.0000 0.7535 0.5000
Ca 0.2465 0.2465 0.5000
Ca 0.4103 0.0000 0.0000
Ca 0.5897 0.5897 0.0000
Ca 0.7535 0.0000 0.5000
Sn 0.3333 0.6667 0.5000
Sn 0.6667 0.3333 0.5000
P 0.0000 0.0000 0.0000

Entry 6:
# Ca4Sn2P
Theoretical powder X-ray diffraction pattern, Cu Kα, 1.54184 Å. Input: a structure optimized by DFT (GGA-PBE).

Principal peaks in the range 2θ = 10–90°, most intense first:
2theta	d [Å]	I (rel.)
32.77	2.733	100
32.92	2.720	97
23.01	3.864	93
33.53	2.673	89
47.59	1.911	66
17.23	5.148	54
58.60	1.575	37
47.03	1.932	35
69.12	1.359	30
11.55	7.661	26
78.25	1.222	24
52.98	1.728	20

Atomic structure:
Cell lengths 8.5802, 8.5802, 8.5802 Å; angles 142.86, 142.86, 53.54 degrees
Element x y z (fractional)
Ca 0.0000 0.5000 0.5000
Ca 0.1785 0.1785 0.0000
Ca 0.5000 0.0000 0.5000
Ca 0.8215 0.8215 0.0000
Sn 0.3828 0.3828 0.0000
Sn 0.6172 0.6172 0.0000
P 0.0000 0.0000 0.0000

Entry 7:
# Ca3SnP3
Theoretical powder X-ray diffraction pattern, Cu Kα, 1.54184 Å. Input: a structure optimized by DFT (GGA-PBE).

Principal peaks in the range 2θ = 10–90°, most intense first:
2theta	d [Å]	I (rel.)
32.45	2.759	100
37.54	2.396	78
32.05	2.793	70
29.60	3.018	70
33.96	2.639	68
44.01	2.058	51
12.31	7.189	49
27.15	3.285	48
29.40	3.038	46
44.80	2.023	36
16.26	5.452	35
15.03	5.893	33

Atomic structure:
Cell lengths 11.7852, 4.1153, 14.3770 Å; angles 90.00, 90.00, 90.00 degrees
Element x y z (fractional)
Ca 0.0583 0.2500 0.0981
Ca 0.1650 0.7500 0.5115
Ca 0.2385 0.7500 0.7950
Ca 0.2615 0.2500 0.2950
Ca 0.3350 0.2500 0.0115
Ca 0.4417 0.7500 0.5981
Ca 0.5583 0.2500 0.4019
Ca 0.6650 0.7500 0.9885
Ca 0.7385 0.7500 0.7050
Ca 0.7615 0.2500 0.2050
Ca 0.8350 0.2500 0.4885
Ca 0.9417 0.7500 0.9019
Sn 0.0416 0.2500 0.7026
Sn 0.4584 0.7500 0.2026
Sn 0.5416 0.2500 0.7974
Sn 0.9584 0.7500 0.2974
P 0.0471 0.2500 0.3886
P 0.1159 0.2500 0.8985
P 0.2459 0.7500 0.1407
P 0.2541 0.2500 0.6407
P 0.3841 0.7500 0.3985
P 0.4529 0.7500 0.8886
P 0.5471 0.2500 0.1114
P 0.6159 0.2500 0.6015
P 0.7459 0.7500 0.3593
P 0.7541 0.2500 0.8593
P 0.8841 0.7500 0.1015
P 0.9529 0.7500 0.6114